Entry 1:
Structure and computed XRD peak list of Re3Te7I7 (a structure optimized by DFT (GGA-PBE); Cu Kα (weighted mean of Kα1 and Kα2)).

Structure:
Cell lengths 11.078, 11.140, 12.376 Å; angles 86.76, 75.03, 61.87 degrees
Space group P-1 (No. 2)
Unique sites:
Re  0.061  0.118  0.412
Re  0.114  0.984  0.598
Re  0.157  0.845  0.408
Te  0.019  0.259  0.603
Te  0.103  0.978  0.221
Te  0.152  0.288  0.300
Te  0.210  0.711  0.595
Te  0.293  0.957  0.722
Te  0.333  0.947  0.417
Te  0.378  0.615  0.296
I  0.019  0.595  0.856
I  0.143  0.173  0.892
I  0.289  0.768  0.879
I  0.298  0.547  0.121
I  0.361  0.312  0.442
I  0.393  0.123  0.130
I  0.430  0.308  0.843

Top 10 peaks for 10° ≤ 2θ ≤ 80°, by angle:
index	d/Å	two_theta	I_rel
1 0 1	8.572	10.3	100
1 1 1	8.142	10.9	44
0 1 1	7.299	12.1	67
1 1 -1	6.769	13.1	43
1 -2 2	3.389	26.3	59
2 3 -1	3.339	26.7	61
2 3 2	3.252	27.4	44
0 0 4	2.979	30.0	45
-1 2 2	2.933	30.5	45
3 1 4	2.647	33.9	50

=====

Entry 2:
Structure and computed XRD peak list of Ba2NbSb (a structure optimized by DFT (GGA-PBE); Cu Kα (weighted mean of Kα1 and Kα2)).

Structure:
Cell lengths 7.885, 7.885, 7.885 Å; angles 90.00, 90.00, 90.00 degrees
Space group F-43m (No. 216)
Unique sites:
Ba  0.000  0.000  0.000
Ba  0.250  0.250  0.250
Nb  0.000  0.000  0.500
Sb  0.250  0.250  0.750

Top 7 peaks for 10° ≤ 2θ ≤ 80°, by angle:
index	d/Å	two_theta	I_rel
1 1 1	4.553	19.5	1
2 2 0	2.788	32.1	100
3 1 1	2.378	37.8	1
4 0 0	1.971	46.0	18
4 2 2	1.610	57.2	38
4 4 0	1.394	67.2	12
6 2 0	1.247	76.4	16

=====

Entry 3:
Structure and computed XRD peak list of Y2TcC2 (a structure optimized by DFT (GGA-PBE); Cu Kα (weighted mean of Kα1 and Kα2)).

Structure:
Cell lengths 11.163, 5.107, 6.684 Å; angles 90.00, 118.64, 90.00 degrees
Space group C2/m (No. 12)
Unique sites:
Y  0.031  0.000  0.275
Y  0.178  0.500  0.122
Tc  0.137  0.500  0.630
C  0.008  0.500  0.278
C  0.182  0.000  0.111

Top 10 peaks for 10° ≤ 2θ ≤ 80°, by angle:
index	d/Å	two_theta	I_rel
3 1 -1	3.000	29.8	9
3 1 0	2.754	32.5	100
3 1 -2	2.597	34.5	11
4 0 -2	2.586	34.7	19
0 2 0	2.554	35.1	36
2 0 2	2.110	42.9	15
4 2 -2	1.817	50.2	13
2 2 2	1.627	56.6	13
3 3 0	1.510	61.4	16
7 1 -3	1.474	63.1	8

=====

Entry 4:
Structure and computed XRD peak list of Sc3Ni2Ge3 (a structure optimized by DFT (GGA-PBE); Cu Kα (weighted mean of Kα1 and Kα2)).

Structure:
Cell lengths 4.052, 9.825, 13.361 Å; angles 90.00, 90.00, 90.00 degrees
Space group Cmcm (No. 63)
Unique sites:
Sc  0.000  0.084  0.111
Sc  0.000  0.359  0.250
Ni  0.000  0.207  0.600
Ge  0.000  0.347  0.750
Ge  0.000  0.380  0.040

Top 10 peaks for 10° ≤ 2θ ≤ 80°, by angle:
index	d/Å	two_theta	I_rel
0 0 2	6.681	13.3	19
0 2 0	4.912	18.1	18
0 2 3	3.300	27.0	25
1 3 1	2.502	35.9	30
1 1 4	2.493	36.0	81
0 4 0	2.456	36.6	20
1 3 3	2.211	40.8	62
0 4 3	2.151	42.0	18
2 0 0	2.026	44.7	100
1 1 7	1.701	53.9	20

=====

Entry 5:
Structure and computed XRD peak list of RbHfAgSe2S (a structure optimized by DFT (GGA-PBE); Cu Kα (weighted mean of Kα1 and Kα2)).

Structure:
Cell lengths 8.590, 3.926, 10.431 Å; angles 90.00, 112.28, 90.00 degrees
Space group P2_1/m (No. 11)
Unique sites:
Rb  0.242  0.250  0.279
Hf  0.311  0.750  0.840
Ag  0.070  0.250  0.605
Se  0.271  0.750  0.575
Se  0.451  0.750  0.124
S  0.125  0.250  0.859

Top 10 peaks for 10° ≤ 2θ ≤ 80°, by angle:
index	d/Å	two_theta	I_rel
1 0 -1	7.744	11.4	100
2 1 -1	2.897	30.9	34
2 1 0	2.793	32.0	25
1 0 3	2.653	33.8	16
1 1 -3	2.601	34.5	29
2 1 1	2.510	35.8	16
3 1 -1	2.304	39.1	13
2 1 -4	2.128	42.5	16
0 2 0	1.963	46.3	15
3 1 -5	1.748	52.4	15

=====

Entry 6:
Structure and computed XRD peak list of Li2PrDySe2O2 (a structure optimized by DFT (GGA-PBE); Cu Kα (weighted mean of Kα1 and Kα2)).

Structure:
Cell lengths 3.972, 3.972, 8.963 Å; angles 90.00, 90.00, 90.00 degrees
Space group P4mm (No. 99)
Unique sites:
Li  0.000  0.500  0.000
Pr  0.000  0.000  0.629
Dy  0.500  0.500  0.372
Se  0.000  0.000  0.173
Se  0.500  0.500  0.821
O  0.000  0.500  0.489

Top 10 peaks for 10° ≤ 2θ ≤ 80°, by angle:
index	d/Å	two_theta	I_rel
1 0 2	2.972	30.1	100
1 1 0	2.808	31.9	40
1 0 3	2.388	37.7	15
2 0 0	1.986	45.7	21
1 1 4	1.752	52.2	17
2 1 2	1.651	55.7	35
2 1 3	1.527	60.7	7
1 1 5	1.511	61.4	7
3 0 2	1.270	74.8	7
3 1 0	1.256	75.7	7

=====

Entry 7:
Structure and computed XRD peak list of TbCo9Si4 (a structure optimized by DFT (GGA-PBE); Cu Kα (weighted mean of Kα1 and Kα2)).

Structure:
Cell lengths 7.690, 7.690, 11.388 Å; angles 90.00, 90.00, 90.00 degrees
Space group I4/mcm (No. 140)
Unique sites:
Tb  0.000  0.000  0.250
Co  0.000  0.500  0.000
Co  0.070  0.199  0.000
Co  0.131  0.369  0.180
Si  0.169  0.331  0.378

Top 10 peaks for 10° ≤ 2θ ≤ 80°, by angle:
index	d/Å	two_theta	I_rel
0 0 4	2.847	31.4	16
1 1 4	2.522	35.6	22
2 2 2	2.454	36.6	22
3 1 0	2.432	37.0	17
2 0 4	2.288	39.4	25
3 1 2	2.236	40.3	100
0 0 6	1.899	47.9	35
3 2 3	1.859	49.0	28
4 1 1	1.841	49.5	17
4 2 0	1.720	53.3	14

=====

Entry 8:
Structure and computed XRD peak list of CsZrNO (a structure optimized by DFT (GGA-PBE); Cu Kα (weighted mean of Kα1 and Kα2)).

Structure:
Cell lengths 3.535, 7.785, 6.495 Å; angles 90.00, 90.00, 90.00 degrees
Space group Pmc2_1 (No. 26)
Unique sites:
Cs  0.000  0.162  0.000
Zr  0.500  0.359  0.512
N  0.000  0.227  0.474
O  0.500  0.440  0.811

Top 10 peaks for 10° ≤ 2θ ≤ 80°, by angle:
index	d/Å	two_theta	I_rel
0 2 1	3.339	26.7	100
0 0 2	3.248	27.5	58
1 1 0	3.219	27.7	48
1 1 1	2.884	31.0	94
1 1 2	2.286	39.4	24
1 3 0	2.092	43.2	30
0 2 3	1.892	48.1	22
1 1 3	1.796	50.8	26
1 3 2	1.759	52.0	38
2 2 1	1.562	59.1	21